Computed XRD peak list
Compound: KPd2Cl8
Radiation: Cu Kα (λ = 1.5418 Å)
Structure: a GGA-PBE-relaxed structure

Cell: 5.203 8.563 8.892 Å, 61.79 73.03 89.68°
Atoms (fractional coordinates):
K 0.000 0.000 0.000
Pd 0.310 0.168 0.376
Pd 0.690 0.832 0.624
Cl 0.198 0.859 0.606
Cl 0.208 0.277 0.579
Cl 0.411 0.471 0.172
Cl 0.428 0.097 0.142
Cl 0.572 0.903 0.858
Cl 0.589 0.529 0.828
Cl 0.792 0.723 0.421
Cl 0.802 0.141 0.394

The 8 most intense peaks (2θ = 10–90°), low angle first:
two_theta  d [Å]  I_rel
11.91  7.430  99
12.01  7.372  100
18.07  4.909  25
19.97  4.447  65
31.76  2.817  37
32.17  2.783  24
34.47  2.602  41
36.62  2.454  25



Computed XRD peak list
Compound: Pu2CdNi9
Radiation: Cu Kα (λ = 1.5418 Å)
Structure: a GGA-PBE-relaxed structure

Cell: 8.598 8.598 8.598 Å, 33.07 33.07 33.07°
Atoms (fractional coordinates):
Pu 0.139 0.139 0.139
Pu 0.861 0.861 0.861
Cd 0.000 0.000 0.000
Ni 0.081 0.582 0.582
Ni 0.333 0.333 0.333
Ni 0.418 0.418 0.919
Ni 0.418 0.919 0.418
Ni 0.500 0.500 0.500
Ni 0.582 0.081 0.582
Ni 0.582 0.582 0.081
Ni 0.667 0.667 0.667
Ni 0.919 0.418 0.418

The 8 most intense peaks (2θ = 10–90°), low angle first:
two_theta  d [Å]  I_rel
10.89  8.121  42
25.60  3.479  28
33.31  2.690  71
36.32  2.473  51
36.72  2.447  72
42.83  2.112  54
43.16  2.096  100
46.25  1.963  30